[1]
The following is a calculated powder X-ray diffraction pattern of Re3Tc. It was derived from a DFT-relaxed cell (GGA-PBE, Alexandria), using λ = 1.5418 Å (Cu Kα).

Most intense lines, 10° ≤ 2θ ≤ 90°, by intensity:
d (Å)  I (rel.)
2.257  100
1.957  33
1.381  26
1.949  16
1.180  13
1.179  13
1.176  13
1.129  6
1.128  6
1.385  5

Cell and atoms:
```
data_Re3Tc
_symmetry_space_group_name_H-M 'P 1'
_symmetry_Int_Tables_number 1
_cell_length_a 4.7790
_cell_length_b 4.7790
_cell_length_c 2.7700
_cell_angle_alpha 90.00
_cell_angle_beta 90.00
_cell_angle_gamma 109.31
loop_
_symmetry_equiv_pos_as_xyz
'x,y,z'
loop_
_atom_site_label
_atom_site_type_symbol
_atom_site_fract_x
_atom_site_fract_y
_atom_site_fract_z
_atom_site_occupancy
Re1 Re 0.0000 0.0000 0.0000 1
Re2 Re 0.0000 0.5000 0.5000 1
Re3 Re 0.5000 0.0000 0.5000 1
Tc1 Tc 0.5000 0.5000 0.0000 1
```

[2]
The following is a calculated powder X-ray diffraction pattern of Re4Tc3. It was derived from a DFT-relaxed cell (GGA-PBE, Alexandria), using λ = 1.5418 Å (Cu Kα).

Most intense lines, 10° ≤ 2θ ≤ 90°, by intensity:
d (Å)  I (rel.)
2.252  100
1.953  34
1.177  25
1.379  21
1.947  16
1.175  13
1.126  11
1.381  11
6.113  8
2.995  4

Cell and atoms:
```
data_Re4Tc3
_symmetry_space_group_name_H-M 'P 1'
_symmetry_Int_Tables_number 1
_cell_length_a 4.7796
_cell_length_b 4.7796
_cell_length_c 6.1751
_cell_angle_alpha 97.41
_cell_angle_beta 97.41
_cell_angle_gamma 48.07
loop_
_symmetry_equiv_pos_as_xyz
'x,y,z'
loop_
_atom_site_label
_atom_site_type_symbol
_atom_site_fract_x
_atom_site_fract_y
_atom_site_fract_z
_atom_site_occupancy
Re1 Re 0.0726 0.0726 0.2157 1
Re2 Re 0.3573 0.3573 0.0722 1
Re3 Re 0.6427 0.6427 0.9278 1
Re4 Re 0.9274 0.9274 0.7843 1
Tc1 Tc 0.2136 0.2136 0.6421 1
Tc2 Tc 0.5000 0.5000 0.5000 1
Tc3 Tc 0.7864 0.7864 0.3579 1
```

[3]
The following is a calculated powder X-ray diffraction pattern of Re3Tc13. It was derived from a DFT-relaxed cell (GGA-PBE, Alexandria), using λ = 1.5418 Å (Cu Kα).

Most intense lines, 10° ≤ 2θ ≤ 90°, by intensity:
d (Å)  I (rel.)
2.105  100
2.214  26
2.392  26
1.256  18
1.625  15
1.172  13
1.382  11
1.154  10
6.502  7
1.171  7

Cell and atoms:
```
data_Re3Tc13
_symmetry_space_group_name_H-M 'P 1'
_symmetry_Int_Tables_number 1
_cell_length_a 5.5185
_cell_length_b 6.5221
_cell_length_c 6.5221
_cell_angle_alpha 85.51
_cell_angle_beta 90.00
_cell_angle_gamma 90.00
loop_
_symmetry_equiv_pos_as_xyz
'x,y,z'
loop_
_atom_site_label
_atom_site_type_symbol
_atom_site_fract_x
_atom_site_fract_y
_atom_site_fract_z
_atom_site_occupancy
Re1 Re 0.0000 0.0000 0.0000 1
Re2 Re 0.2495 0.7511 0.7511 1
Re3 Re 0.7505 0.7511 0.7511 1
Tc1 Tc 0.0000 0.4161 0.9168 1
Tc2 Tc 0.0000 0.5006 0.5006 1
Tc3 Tc 0.0000 0.9168 0.4161 1
Tc4 Tc 0.2501 0.1679 0.6651 1
Tc5 Tc 0.2501 0.6651 0.1679 1
Tc6 Tc 0.2509 0.2501 0.2501 1
Tc7 Tc 0.5000 0.0008 0.0008 1
Tc8 Tc 0.5000 0.4160 0.9170 1
Tc9 Tc 0.5000 0.5005 0.5005 1
Tc10 Tc 0.5000 0.9170 0.4160 1
Tc11 Tc 0.7491 0.2501 0.2501 1
Tc12 Tc 0.7499 0.1679 0.6651 1
Tc13 Tc 0.7499 0.6651 0.1679 1
```

[4]
The following is a calculated powder X-ray diffraction pattern of Re2Tc3. It was derived from a DFT-relaxed cell (GGA-PBE, Alexandria), using λ = 1.5418 Å (Cu Kα).

Most intense lines, 10° ≤ 2θ ≤ 90°, by intensity:
d (Å)  I (rel.)
2.242  100
2.166  53
1.852  25
2.192  20
2.326  15
1.370  14
2.056  11
3.792  10
1.261  10
1.155  9

Cell and atoms:
```
data_Re2Tc3
_symmetry_space_group_name_H-M 'P 1'
_symmetry_Int_Tables_number 1
_cell_length_a 6.9900
_cell_length_b 5.2563
_cell_length_c 8.0321
_cell_angle_alpha 59.16
_cell_angle_beta 40.22
_cell_angle_gamma 80.62
loop_
_symmetry_equiv_pos_as_xyz
'x,y,z'
loop_
_atom_site_label
_atom_site_type_symbol
_atom_site_fract_x
_atom_site_fract_y
_atom_site_fract_z
_atom_site_occupancy
Re1 Re 0.2694 0.7306 0.3319 1
Re2 Re 0.5819 0.9181 0.5194 1
Re3 Re 0.7306 0.2694 0.6681 1
Re4 Re 0.9181 0.5819 0.9806 1
Tc1 Tc 0.1153 0.8052 0.0813 1
Tc2 Tc 0.1687 0.2518 0.1347 1
Tc3 Tc 0.2518 0.1687 0.4448 1
Tc4 Tc 0.4399 0.4399 0.5601 1
Tc5 Tc 0.6899 0.6899 0.8101 1
Tc6 Tc 0.8052 0.1153 0.9982 1
```

[5]
The following is a calculated powder X-ray diffraction pattern of ReTc4Te. It was derived from a DFT-relaxed cell (GGA-PBE, Alexandria), using λ = 1.5418 Å (Cu Kα).

Most intense lines, 10° ≤ 2θ ≤ 90°, by intensity:
d (Å)  I (rel.)
2.208  100
2.589  42
1.409  31
2.114  27
1.294  25
1.495  16
1.117  11
1.104  10
1.158  7
4.228  2

Cell and atoms:
```
data_ReTc4Te
_symmetry_space_group_name_H-M 'P 1'
_symmetry_Int_Tables_number 1
_cell_length_a 5.1777
_cell_length_b 5.1777
_cell_length_c 5.1777
_cell_angle_alpha 60.00
_cell_angle_beta 60.00
_cell_angle_gamma 60.00
loop_
_symmetry_equiv_pos_as_xyz
'x,y,z'
loop_
_atom_site_label
_atom_site_type_symbol
_atom_site_fract_x
_atom_site_fract_y
_atom_site_fract_z
_atom_site_occupancy
Re1 Re 0.0000 0.0000 0.0000 1
Tc1 Tc 0.1242 0.6253 0.6253 1
Tc2 Tc 0.6253 0.1242 0.6253 1
Tc3 Tc 0.6253 0.6253 0.1242 1
Tc4 Tc 0.6253 0.6253 0.6253 1
Te1 Te 0.2500 0.2500 0.2500 1
```

[6]
The following is a calculated powder X-ray diffraction pattern of U4Re2Tc. It was derived from a DFT-relaxed cell (GGA-PBE, Alexandria), using λ = 1.5418 Å (Cu Kα).

Most intense lines, 10° ≤ 2θ ≤ 90°, by intensity:
d (Å)  I (rel.)
2.384  100
2.392  71
2.477  48
2.298  44
1.871  29
2.034  22
1.475  22
1.397  17
1.206  15
1.601  14

Cell and atoms:
```
data_U4Re2Tc
_symmetry_space_group_name_H-M 'P 1'
_symmetry_Int_Tables_number 1
_cell_length_a 9.8460
_cell_length_b 9.8460
_cell_length_c 5.0286
_cell_angle_alpha 99.54
_cell_angle_beta 99.54
_cell_angle_gamma 32.06
loop_
_symmetry_equiv_pos_as_xyz
'x,y,z'
loop_
_atom_site_label
_atom_site_type_symbol
_atom_site_fract_x
_atom_site_fract_y
_atom_site_fract_z
_atom_site_occupancy
U1 U 0.0312 0.8252 0.7095 1
U2 U 0.1748 0.9688 0.7905 1
U3 U 0.2477 0.4673 0.1977 1
U4 U 0.4673 0.2477 0.6977 1
U5 U 0.5327 0.7523 0.3023 1
U6 U 0.7523 0.5327 0.8023 1
U7 U 0.8252 0.0312 0.2095 1
U8 U 0.9688 0.1748 0.2905 1
Re1 Re 0.1300 0.3190 0.2907 1
Re2 Re 0.3190 0.1300 0.7907 1
Re3 Re 0.6810 0.8700 0.2093 1
Re4 Re 0.8700 0.6810 0.7093 1
Tc1 Tc 0.3990 0.6010 0.2500 1
Tc2 Tc 0.6010 0.3990 0.7500 1
```

[7]
The following is a calculated powder X-ray diffraction pattern of V5Re2Tc. It was derived from a DFT-relaxed cell (GGA-PBE, Alexandria), using λ = 1.5418 Å (Cu Kα).

Most intense lines, 10° ≤ 2θ ≤ 90°, by intensity:
d (Å)  I (rel.)
2.174  100
2.163  55
2.154  49
3.605  41
2.765  40
4.308  26
2.214  25
2.046  24
1.849  24
3.143  22

Cell and atoms:
```
data_V5Re2Tc
_symmetry_space_group_name_H-M 'P 1'
_symmetry_Int_Tables_number 1
_cell_length_a 5.1631
_cell_length_b 10.0717
_cell_length_c 4.3082
_cell_angle_alpha 90.00
_cell_angle_beta 90.00
_cell_angle_gamma 90.00
loop_
_symmetry_equiv_pos_as_xyz
'x,y,z'
loop_
_atom_site_label
_atom_site_type_symbol
_atom_site_fract_x
_atom_site_fract_y
_atom_site_fract_z
_atom_site_occupancy
V1 V 0.0000 0.0000 0.0000 1
V2 V 0.1524 0.2534 0.0000 1
V3 V 0.1659 0.6189 0.5000 1
V4 V 0.3341 0.1189 0.5000 1
V5 V 0.3476 0.7534 0.0000 1
V6 V 0.5000 0.5000 0.0000 1
V7 V 0.6524 0.2466 0.0000 1
V8 V 0.6659 0.8811 0.5000 1
V9 V 0.8341 0.3811 0.5000 1
V10 V 0.8476 0.7466 0.0000 1
Re1 Re 0.1668 0.8753 0.5000 1
Re2 Re 0.3332 0.3753 0.5000 1
Re3 Re 0.6668 0.6247 0.5000 1
Re4 Re 0.8332 0.1247 0.5000 1
Tc1 Tc 0.0000 0.5000 0.0000 1
Tc2 Tc 0.5000 0.0000 0.0000 1
```

[8]
The following is a calculated powder X-ray diffraction pattern of V8Re2Tc3. It was derived from a DFT-relaxed cell (GGA-PBE, Alexandria), using λ = 1.5418 Å (Cu Kα).

Most intense lines, 10° ≤ 2θ ≤ 90°, by intensity:
d (Å)  I (rel.)
2.202  100
2.080  97
2.141  76
2.946  53
3.651  43
1.732  25
1.786  22
1.136  21
4.283  20
3.249  19

Cell and atoms:
```
data_V8Re2Tc3
_symmetry_space_group_name_H-M 'P 1'
_symmetry_Int_Tables_number 1
_cell_length_a 7.7050
_cell_length_b 7.7050
_cell_length_c 4.2830
_cell_angle_alpha 90.00
_cell_angle_beta 90.00
_cell_angle_gamma 130.12
loop_
_symmetry_equiv_pos_as_xyz
'x,y,z'
loop_
_atom_site_label
_atom_site_type_symbol
_atom_site_fract_x
_atom_site_fract_y
_atom_site_fract_z
_atom_site_occupancy
V1 V 0.1172 0.8828 0.0000 1
V2 V 0.1995 0.4098 0.5000 1
V3 V 0.3197 0.6803 0.0000 1
V4 V 0.4098 0.1995 0.5000 1
V5 V 0.5902 0.8005 0.5000 1
V6 V 0.6803 0.3197 0.0000 1
V7 V 0.8005 0.5902 0.5000 1
V8 V 0.8828 0.1172 0.0000 1
Re1 Re 0.2183 0.7817 0.5000 1
Re2 Re 0.7817 0.2183 0.5000 1
Tc1 Tc 0.0000 0.0000 0.5000 1
Tc2 Tc 0.3055 0.3055 0.0000 1
Tc3 Tc 0.6945 0.6945 0.0000 1
```

[9]
The following is a calculated powder X-ray diffraction pattern of V2ReTc4. It was derived from a DFT-relaxed cell (GGA-PBE, Alexandria), using λ = 1.5418 Å (Cu Kα).

Most intense lines, 10° ≤ 2θ ≤ 90°, by intensity:
d (Å)  I (rel.)
2.315  100
2.159  71
4.329  59
1.579  58
6.100  55
3.274  45
3.051  41
1.844  35
1.637  33
2.885  28

Cell and atoms:
```
data_V2ReTc4
_symmetry_space_group_name_H-M 'P 1'
_symmetry_Int_Tables_number 1
_cell_length_a 6.9234
_cell_length_b 6.9234
_cell_length_c 6.9234
_cell_angle_alpha 140.93
_cell_angle_beta 140.93
_cell_angle_gamma 56.45
loop_
_symmetry_equiv_pos_as_xyz
'x,y,z'
loop_
_atom_site_label
_atom_site_type_symbol
_atom_site_fract_x
_atom_site_fract_y
_atom_site_fract_z
_atom_site_occupancy
V1 V 0.1243 0.1243 0.0000 1
V2 V 0.8757 0.8757 0.0000 1
Re1 Re 0.5000 0.5000 0.0000 1
Tc1 Tc 0.0000 0.5000 0.5000 1
Tc2 Tc 0.2947 0.2947 0.0000 1
Tc3 Tc 0.5000 0.0000 0.5000 1
Tc4 Tc 0.7053 0.7053 0.0000 1
```

[10]
The following is a calculated powder X-ray diffraction pattern of Re12Tc6W. It was derived from a DFT-relaxed cell (GGA-PBE, Alexandria), using λ = 1.5418 Å (Cu Kα).

Most intense lines, 10° ≤ 2θ ≤ 90°, by intensity:
d (Å)  I (rel.)
2.096  100
2.231  75
2.163  60
2.185  54
2.378  36
2.146  23
2.051  20
1.413  18
1.701  14
2.271  14

Cell and atoms:
```
data_Re12Tc6W
_symmetry_space_group_name_H-M 'P 1'
_symmetry_Int_Tables_number 1
_cell_length_a 4.7739
_cell_length_b 7.5022
_cell_length_c 8.5781
_cell_angle_alpha 78.05
_cell_angle_beta 76.16
_cell_angle_gamma 76.17
loop_
_symmetry_equiv_pos_as_xyz
'x,y,z'
loop_
_atom_site_label
_atom_site_type_symbol
_atom_site_fract_x
_atom_site_fract_y
_atom_site_fract_z
_atom_site_occupancy
Re1 Re 0.0097 0.4233 0.3636 1
Re2 Re 0.2684 0.0561 0.4260 1
Re3 Re 0.3692 0.2606 0.1056 1
Re4 Re 0.4519 0.4786 0.7911 1
Re5 Re 0.4649 0.1133 0.8347 1
Re6 Re 0.4764 0.3194 0.5195 1
Re7 Re 0.5236 0.6806 0.4805 1
Re8 Re 0.5351 0.8867 0.1653 1
Re9 Re 0.5481 0.5214 0.2089 1
Re10 Re 0.6308 0.7394 0.8944 1
Re11 Re 0.7316 0.9439 0.5740 1
Re12 Re 0.9903 0.5767 0.6364 1
Tc1 Tc 0.0476 0.7804 0.3240 1
Tc2 Tc 0.0939 0.6235 0.0517 1
Tc3 Tc 0.1870 0.8447 0.7303 1
Tc4 Tc 0.8130 0.1553 0.2697 1
Tc5 Tc 0.9061 0.3765 0.9483 1
Tc6 Tc 0.9524 0.2196 0.6760 1
W1 W 0.0000 0.0000 0.0000 1
```

[11]
The following is a calculated powder X-ray diffraction pattern of ReTcW14. It was derived from a DFT-relaxed cell (GGA-PBE, Alexandria), using λ = 1.5418 Å (Cu Kα).

Most intense lines, 10° ≤ 2θ ≤ 90°, by intensity:
d (Å)  I (rel.)
2.245  100
1.296  35
1.587  17
1.122  8
1.123  4

Cell and atoms:
```
data_ReTcW14
_symmetry_space_group_name_H-M 'P 1'
_symmetry_Int_Tables_number 1
_cell_length_a 5.4975
_cell_length_b 5.4975
_cell_length_c 8.9878
_cell_angle_alpha 90.00
_cell_angle_beta 90.00
_cell_angle_gamma 109.51
loop_
_symmetry_equiv_pos_as_xyz
'x,y,z'
loop_
_atom_site_label
_atom_site_type_symbol
_atom_site_fract_x
_atom_site_fract_y
_atom_site_fract_z
_atom_site_occupancy
Re1 Re 0.0000 0.0000 0.0000 1
Tc1 Tc 0.5000 0.5000 0.0000 1
W1 W 0.0000 0.0000 0.5000 1
W2 W 0.0000 0.5000 0.0000 1
W3 W 0.0000 0.5000 0.5000 1
W4 W 0.2498 0.2498 0.2503 1
W5 W 0.2498 0.2498 0.7497 1
W6 W 0.2503 0.7497 0.2477 1
W7 W 0.2503 0.7497 0.7523 1
W8 W 0.5000 0.0000 0.0000 1
W9 W 0.5000 0.0000 0.5000 1
W10 W 0.5000 0.5000 0.5000 1
W11 W 0.7497 0.2503 0.2477 1
W12 W 0.7497 0.2503 0.7523 1
W13 W 0.7502 0.7502 0.2503 1
W14 W 0.7502 0.7502 0.7497 1
```

[12]
The following is a calculated powder X-ray diffraction pattern of Re8Tc4W. It was derived from a DFT-relaxed cell (GGA-PBE, Alexandria), using λ = 1.5418 Å (Cu Kα).

Most intense lines, 10° ≤ 2θ ≤ 90°, by intensity:
d (Å)  I (rel.)
2.117  100
2.163  28
4.190  27
2.095  22
1.214  20
1.505  15
2.453  15
1.239  9
1.241  9
1.489  8

Cell and atoms:
```
data_Re8Tc4W
_symmetry_space_group_name_H-M 'P 1'
_symmetry_Int_Tables_number 1
_cell_length_a 5.2470
_cell_length_b 8.3805
_cell_length_c 5.2577
_cell_angle_alpha 90.00
_cell_angle_beta 110.93
_cell_angle_gamma 90.00
loop_
_symmetry_equiv_pos_as_xyz
'x,y,z'
loop_
_atom_site_label
_atom_site_type_symbol
_atom_site_fract_x
_atom_site_fract_y
_atom_site_fract_z
_atom_site_occupancy
Re1 Re 0.2402 0.2460 0.2377 1
Re2 Re 0.2402 0.7540 0.2377 1
Re3 Re 0.2519 0.2738 0.7458 1
Re4 Re 0.2519 0.7262 0.7458 1
Re5 Re 0.7481 0.2738 0.2542 1
Re6 Re 0.7481 0.7262 0.2542 1
Re7 Re 0.7598 0.2460 0.7623 1
Re8 Re 0.7598 0.7540 0.7623 1
Tc1 Tc 0.0000 0.0000 0.5000 1
Tc2 Tc 0.0000 0.5000 0.0000 1
Tc3 Tc 0.5000 0.0000 0.0000 1
Tc4 Tc 0.5000 0.5000 0.5000 1
W1 W 0.5000 0.0000 0.5000 1
```

[13]
The following is a calculated powder X-ray diffraction pattern of ReTc5W. It was derived from a DFT-relaxed cell (GGA-PBE, Alexandria), using λ = 1.5418 Å (Cu Kα).

Most intense lines, 10° ≤ 2θ ≤ 90°, by intensity:
d (Å)  I (rel.)
2.366  100
2.203  70
2.449  70
1.990  68
1.944  59
2.173  59
2.524  56
2.353  55
2.510  52
2.156  46

Cell and atoms:
```
data_ReTc5W
_symmetry_space_group_name_H-M 'P 1'
_symmetry_Int_Tables_number 1
_cell_length_a 8.2966
_cell_length_b 5.0472
_cell_length_c 10.5348
_cell_angle_alpha 90.00
_cell_angle_beta 90.00
_cell_angle_gamma 90.00
loop_
_symmetry_equiv_pos_as_xyz
'x,y,z'
loop_
_atom_site_label
_atom_site_type_symbol
_atom_site_fract_x
_atom_site_fract_y
_atom_site_fract_z
_atom_site_occupancy
Re1 Re 0.1214 0.2500 0.1653 1
Re2 Re 0.3786 0.7500 0.6653 1
Re3 Re 0.6214 0.2500 0.3347 1
Re4 Re 0.8786 0.7500 0.8347 1
Tc1 Tc 0.0188 0.2500 0.9277 1
Tc2 Tc 0.0496 0.5060 0.6556 1
Tc3 Tc 0.0496 0.9940 0.6556 1
Tc4 Tc 0.1810 0.7500 0.4674 1
Tc5 Tc 0.2104 0.7500 0.2323 1
Tc6 Tc 0.2896 0.2500 0.7323 1
Tc7 Tc 0.3190 0.2500 0.9674 1
Tc8 Tc 0.4504 0.0060 0.1556 1
Tc9 Tc 0.4504 0.4940 0.1556 1
Tc10 Tc 0.4812 0.7500 0.4277 1
Tc11 Tc 0.5188 0.2500 0.5723 1
Tc12 Tc 0.5496 0.5060 0.8444 1
Tc13 Tc 0.5496 0.9940 0.8444 1
Tc14 Tc 0.6810 0.7500 0.0326 1
Tc15 Tc 0.7104 0.7500 0.2677 1
Tc16 Tc 0.7896 0.2500 0.7677 1
Tc17 Tc 0.8190 0.2500 0.5326 1
Tc18 Tc 0.9504 0.0060 0.3444 1
Tc19 Tc 0.9504 0.4940 0.3444 1
Tc20 Tc 0.9812 0.7500 0.0723 1
W1 W 0.2161 0.7500 0.8858 1
W2 W 0.2839 0.2500 0.3858 1
W3 W 0.7161 0.7500 0.6142 1
W4 W 0.7839 0.2500 0.1142 1
```